[1]
Diffraction record for Be4CdAs3O12. The XRD peak list is calculated, not measured: it uses a crystal structure in Alexandria, relaxed with GGA-PBE and Cu Kα (weighted mean of Kα1 and Kα2).
Neutral-atom scattering factors, no anomalous dispersion.

Most intense lines, 2θ = 15–90°, by angle:
| d [Å] | Rel. int. |
| --- | --- |
| 4.930 | 29 |
| 3.674 | 100 |
| 2.946 | 22 |
| 2.754 | 77 |
| 2.465 | 21 |
| 1.979 | 31 |
| 1.837 | 14 |
| 1.721 | 29 |
| 1.661 | 16 |
| 1.367 | 16 |

Crystal structure
a b c (Å): 6.179 6.179 6.179
angles (deg): 105.85 105.85 105.85
Atoms (fractional coordinates):
Be 0.000 0.000 0.000
Be 0.000 0.437 0.563
Be 0.437 0.563 0.000
Be 0.563 0.000 0.437
Cd 0.500 0.500 0.500
As 0.056 0.944 0.500
As 0.500 0.056 0.944
As 0.944 0.500 0.056
O 0.000 0.597 0.403
O 0.000 0.841 0.159
O 0.136 0.262 0.530
O 0.159 0.000 0.841
O 0.262 0.530 0.136
O 0.403 0.000 0.597
O 0.470 0.738 0.864
O 0.530 0.136 0.262
O 0.597 0.403 0.000
O 0.738 0.864 0.470
O 0.841 0.159 0.000
O 0.864 0.470 0.738

=====

[2]
Diffraction record for Ce2BeAs3. The XRD peak list is calculated, not measured: it uses a crystal structure in Alexandria, relaxed with GGA-PBE and Cu Kα (weighted mean of Kα1 and Kα2).
Neutral-atom scattering factors, no anomalous dispersion.

Most intense lines, 2θ = 15–90°, by angle:
| d [Å] | Rel. int. |
| --- | --- |
| 3.585 | 23 |
| 3.541 | 34 |
| 3.237 | 21 |
| 2.975 | 24 |
| 2.814 | 30 |
| 2.691 | 100 |
| 2.518 | 30 |
| 2.402 | 39 |
| 2.063 | 21 |
| 2.036 | 37 |

Crystal structure
a b c (Å): 8.028 4.072 16.013
angles (deg): 90.00 90.00 90.00
Atoms (fractional coordinates):
Ce 0.107 0.250 0.213
Ce 0.247 0.750 0.460
Ce 0.253 0.250 0.960
Ce 0.393 0.750 0.713
Ce 0.607 0.250 0.287
Ce 0.747 0.750 0.040
Ce 0.753 0.250 0.540
Ce 0.893 0.750 0.787
Be 0.123 0.250 0.636
Be 0.377 0.750 0.136
Be 0.623 0.250 0.864
Be 0.877 0.750 0.364
As 0.002 0.250 0.396
As 0.120 0.750 0.072
As 0.164 0.250 0.778
As 0.336 0.750 0.278
As 0.380 0.250 0.572
As 0.498 0.750 0.896
As 0.502 0.250 0.104
As 0.620 0.750 0.428
As 0.664 0.250 0.722
As 0.836 0.750 0.222
As 0.880 0.250 0.928
As 0.998 0.750 0.604

=====

[3]
Diffraction record for CeBeAs. The XRD peak list is calculated, not measured: it uses a crystal structure in Alexandria, relaxed with GGA-PBE and Cu Kα (weighted mean of Kα1 and Kα2).
Neutral-atom scattering factors, no anomalous dispersion.

Most intense lines, 2θ = 15–90°, by angle:
| d [Å] | Rel. int. |
| --- | --- |
| 3.340 | 34 |
| 2.644 | 100 |
| 2.165 | 13 |
| 1.928 | 27 |
| 1.817 | 12 |
| 1.558 | 20 |
| 1.440 | 20 |
| 1.325 | 11 |
| 1.212 | 17 |
| 1.092 | 6 |

Crystal structure
a b c (Å): 3.856 3.856 4.330
angles (deg): 90.00 90.00 120.00
Atoms (fractional coordinates):
Ce 0.000 0.000 0.000
Be 0.333 0.667 0.500
As 0.667 0.333 0.500

=====

[4]
Diffraction record for Ce2BeAs4Rh3. The XRD peak list is calculated, not measured: it uses a crystal structure in Alexandria, relaxed with GGA-PBE and Cu Kα (weighted mean of Kα1 and Kα2).
Neutral-atom scattering factors, no anomalous dispersion.

Most intense lines, 2θ = 15–90°, by angle:
| d [Å] | Rel. int. |
| --- | --- |
| 3.017 | 36 |
| 2.616 | 99 |
| 2.579 | 100 |
| 2.133 | 78 |
| 1.917 | 17 |
| 1.801 | 35 |
| 1.653 | 49 |
| 1.508 | 26 |
| 1.376 | 28 |
| 1.302 | 23 |

Crystal structure
a b c (Å): 4.267 4.267 9.935
angles (deg): 90.00 90.00 90.00
Atoms (fractional coordinates):
Ce 0.000 0.500 0.249
Ce 0.500 0.000 0.751
Be 0.000 0.000 0.500
As 0.000 0.000 0.000
As 0.000 0.500 0.631
As 0.500 0.000 0.369
As 0.500 0.500 0.000
Rh 0.000 0.500 0.877
Rh 0.500 0.000 0.123
Rh 0.500 0.500 0.500